No. 1
Starting from a structure optimized by DFT (PBE), the powder X-ray diffraction pattern of Tb3RuRh2 was calculated for Cu Kα, 1.54184 Å.

Cell and atoms:
Lattice parameters (Å, degrees): 4.865 14.645 6.795 90.00 90.00 90.00
Space group Cmmm (No. 65)
One atom of each set of equivalent atoms:
Tb: 0.000 0.000 0.248 [4 per cell]
Tb: 0.000 0.333 0.248 [8 per cell]
Ru: 0.000 0.167 0.000 [4 per cell]
Rh: 0.000 0.166 0.500 [4 per cell]
Rh: 0.000 0.500 0.000 [2 per cell]
Rh: 0.000 0.500 0.500 [2 per cell]

Main lines, low angle first (10 to 80 degrees two-theta):
(hkl), two_theta, intensity
1 3 0, 25.86, 4.9
0 6 0, 36.82, 25.6
2 0 0, 36.95, 25.4
1 3 2, 37.16, 100.0
2 6 0, 53.16, 17.8
0 0 4, 53.98, 8.5
1 9 2, 66.55, 17.9
3 3 2, 66.72, 17.8
2 0 4, 67.18, 17.4
2 6 4, 79.18, 10.9

No. 2
Starting from a structure optimized by DFT (PBE), the powder X-ray diffraction pattern of Cs2CeGaSe4 was calculated for Cu Kα, 1.54184 Å.

Cell and atoms:
Lattice parameters (Å, degrees): 8.851 9.226 13.105 90.00 90.00 90.00
Space group Imma (No. 74)
One atom of each set of equivalent atoms:
Cs: 0.000 0.000 0.000 [4 per cell]
Cs: 0.250 0.250 0.250 [4 per cell]
Ce: 0.250 0.250 0.750 [4 per cell]
Ga: 0.000 0.000 0.500 [4 per cell]
Se: 0.000 0.049 0.737 [8 per cell]
Se: 0.195 0.250 0.526 [8 per cell]

Main lines, low angle first (10 to 80 degrees two-theta):
(hkl), two_theta, intensity
0 2 2, 23.59, 10.5
2 0 2, 24.27, 10.5
0 0 4, 27.22, 57.0
2 2 0, 27.94, 100.0
0 4 0, 39.05, 18.0
2 2 4, 39.40, 71.7
4 0 0, 40.78, 14.8
0 4 4, 48.25, 17.5
4 0 4, 49.72, 16.7
2 2 8, 63.86, 13.1

No. 3
Starting from a structure optimized by DFT (PBE), the powder X-ray diffraction pattern of BaPtW was calculated for Cu Kα, 1.54184 Å.

Cell and atoms:
Lattice parameters (Å, degrees): 6.724 8.543 5.108 90.00 90.00 90.00
Space group Ima2 (No. 46)
One atom of each set of equivalent atoms:
Ba: 0.250 0.121 0.000 [4 per cell]
Pt: 0.000 0.000 0.492 [4 per cell]
W: 0.250 0.711 0.149 [4 per cell]

Main lines, low angle first (10 to 80 degrees two-theta):
(hkl), two_theta, intensity
0 1 1, 20.25, 38.2
1 2 1, 30.34, 70.6
2 1 1, 33.59, 100.0
2 2 0, 33.93, 83.2
1 3 0, 34.19, 37.5
0 0 2, 35.13, 30.5
0 3 1, 36.11, 31.8
1 1 2, 39.17, 45.7
0 2 2, 41.18, 36.7
2 4 2, 63.12, 32.2

No. 4
Starting from a structure optimized by DFT (PBE), the powder X-ray diffraction pattern of CaPm14Dy was calculated for Cu Kα, 1.54184 Å.

Cell and atoms:
Lattice parameters (Å, degrees): 11.326 8.709 11.195 90.00 90.00 90.00
Space group Amm2 (No. 38)
One atom of each set of equivalent atoms:
Ca: 0.000 0.000 0.000 [2 per cell]
Pm: 0.000 0.207 0.723 [4 per cell]
Pm: 0.232 0.000 0.227 [4 per cell]
Pm: 0.257 0.214 0.936 [8 per cell]
Pm: 0.263 0.000 0.656 [4 per cell]
Pm: 0.500 0.000 0.440 [2 per cell]
Pm: 0.500 0.000 0.864 [2 per cell]
Pm: 0.500 0.203 0.157 [4 per cell]
Dy: 0.000 0.000 0.446 [2 per cell]

Main lines, low angle first (10 to 80 degrees two-theta):
(hkl), two_theta, intensity
2 2 2, 30.43, 100.0
4 0 0, 31.60, 24.8
0 0 4, 31.98, 12.9
0 4 0, 41.48, 7.2
4 0 4, 45.57, 9.3
0 3 5, 51.55, 8.1
4 4 0, 53.06, 6.4
6 2 2, 55.55, 16.6
2 5 3, 60.94, 7.0
4 3 5, 61.73, 8.2

No. 5
Starting from a structure optimized by DFT (PBE), the powder X-ray diffraction pattern of Pr3Si2Cl3O7 was calculated for Cu Kα, 1.54184 Å.

Cell and atoms:
Lattice parameters (Å, degrees): 5.350 12.249 7.918 90.00 108.65 90.00
Space group P2_1 (No. 4)
One atom of each set of equivalent atoms:
Pr: 0.034 0.000 0.421 [2 per cell]
Pr: 0.298 0.980 0.969 [2 per cell]
Pr: 0.448 0.255 0.297 [2 per cell]
Si: 0.210 0.666 0.936 [2 per cell]
Si: 0.384 0.553 0.317 [2 per cell]
Cl: 0.009 0.762 0.494 [2 per cell]
Cl: 0.152 0.384 0.943 [2 per cell]
Cl: 0.457 0.887 0.331 [2 per cell]
O: 0.085 0.518 0.308 [2 per cell]
O: 0.101 0.131 0.118 [2 per cell]
O: 0.278 0.792 0.905 [2 per cell]
O: 0.342 0.597 0.804 [2 per cell]
O: 0.384 0.624 0.138 [2 per cell]
O: 0.425 0.949 0.696 [2 per cell]
O: 0.442 0.115 0.502 [2 per cell]

Main lines, low angle first (10 to 80 degrees two-theta):
(hkl), two_theta, intensity
0 1 1, 13.84, 100.0
0 2 0, 14.46, 53.5
1 2 -1, 22.94, 59.5
0 3 1, 24.83, 62.7
1 1 1, 25.22, 66.2
1 1 -2, 25.67, 71.9
0 2 2, 27.89, 57.0
0 4 0, 29.16, 52.0
1 3 -2, 33.08, 84.1
2 0 -1, 33.51, 62.2